1.
For RbNbSe3, a crystal structure in Alexandria, relaxed with PBE gives the computed powder X-ray diffraction pattern in this record (Cu Kα X-rays).
Peak positions follow from Bragg's law for the DFT cell and can differ from measured ones.

Largest 10 diffraction maxima, sorted by position, 2θ from 5° to 70°:
2θ 9.2, I 40
2θ 11.7, I 30
2θ 19.2, I 30
2θ 21.5, I 40
2θ 22.8, I 32
2θ 22.9, I 56
2θ 27.4, I 100
2θ 29.6, I 31
2θ 36.7, I 48
2θ 41.7, I 34

Structural model:
Lattice parameters (Å, degrees): 10.2104 10.2104 7.8256 104.69 104.69 27.74
Element x y z (fractional)
Rb1 0.0922 0.0922 0.2396
Rb2 0.9078 0.9078 0.7604
Nb1 0.3286 0.3286 0.1776
Nb2 0.6714 0.6714 0.8224
Se1 0.2017 0.2017 0.9401
Se2 0.3175 0.3175 0.4682
Se3 0.4473 0.4473 0.1687
Se4 0.5527 0.5527 0.8313
Se5 0.6825 0.6825 0.5318
Se6 0.7983 0.7983 0.0599



2.
For Rb8NbSe6, a crystal structure in Alexandria, relaxed with PBE gives the computed powder X-ray diffraction pattern in this record (Cu Kα X-rays).
Peak positions follow from Bragg's law for the DFT cell and can differ from measured ones.

Largest 10 diffraction maxima, sorted by position, 2θ from 5° to 70°:
2θ 11.0, I 28
2θ 22.1, I 44
2θ 25.2, I 31
2θ 28.1, I 24
2θ 29.8, I 100
2θ 31.2, I 54
2θ 31.8, I 34
2θ 32.4, I 26
2θ 34.5, I 25
2θ 36.7, I 41

Structural model:
Lattice parameters (Å, degrees): 9.8009 9.0106 14.1375 90.00 90.00 90.00
Element x y z (fractional)
Rb1 0.0000 0.0262 0.0668
Rb2 0.0000 0.1405 0.6166
Rb3 0.1962 0.4958 0.7689
Rb4 0.2264 0.6698 0.5000
Rb5 0.2303 0.9360 0.8148
Rb6 0.2697 0.0640 0.3148
Rb7 0.2736 0.3302 0.0000
Rb8 0.3038 0.5042 0.2689
Rb9 0.5000 0.8595 0.1166
Rb10 0.5000 0.9738 0.5668
Rb11 0.6962 0.5042 0.2689
Rb12 0.7264 0.3302 0.0000
Rb13 0.7303 0.0640 0.3148
Rb14 0.7697 0.9360 0.8148
Rb15 0.7736 0.6698 0.5000
Rb16 0.8038 0.4958 0.7689
Nb1 0.0000 0.6361 0.1224
Nb2 0.5000 0.3639 0.6224
Se1 0.0000 0.2097 0.8575
Se2 0.0000 0.3692 0.1711
Se3 0.0000 0.7712 0.6656
Se4 0.0000 0.7814 0.2730
Se5 0.2058 0.7019 0.0270
Se6 0.2942 0.2981 0.5270
Se7 0.5000 0.2186 0.7730
Se8 0.5000 0.2288 0.1656
Se9 0.5000 0.6308 0.6711
Se10 0.5000 0.7903 0.3575
Se11 0.7058 0.2981 0.5270
Se12 0.7942 0.7019 0.0270



3.
For Rb2NbTlSe4, a crystal structure in Alexandria, relaxed with PBE gives the computed powder X-ray diffraction pattern in this record (Cu Kα X-rays).
Peak positions follow from Bragg's law for the DFT cell and can differ from measured ones.

Largest 10 diffraction maxima, sorted by position, 2θ from 5° to 70°:
2θ 13.8, I 100
2θ 14.7, I 78
2θ 23.1, I 41
2θ 24.6, I 56
2θ 27.0, I 50
2θ 28.8, I 76
2θ 30.4, I 35
2θ 31.6, I 56
2θ 36.1, I 31
2θ 42.7, I 38

Structural model:
Lattice parameters (Å, degrees): 14.5065 13.3411 7.8103 82.13 65.64 32.23
Element x y z (fractional)
Rb1 0.0624 0.0624 0.6876
Rb2 0.3124 0.3124 0.9376
Rb3 0.6876 0.6876 0.0624
Rb4 0.9376 0.9376 0.3124
Nb1 0.3750 0.3750 0.3750
Nb2 0.6250 0.6250 0.6250
Tl1 0.1250 0.1250 0.1250
Tl2 0.8750 0.8750 0.8750
Se1 0.0289 0.6140 0.5180
Se2 0.3391 0.5180 0.6140
Se3 0.3860 0.9711 0.6609
Se4 0.4820 0.6609 0.9711
Se5 0.5180 0.3391 0.0289
Se6 0.6140 0.0289 0.3391
Se7 0.6609 0.4820 0.3860
Se8 0.9711 0.3860 0.4820



4.
For RbNbTl2Se4, a crystal structure in Alexandria, relaxed with PBE gives the computed powder X-ray diffraction pattern in this record (Cu Kα X-rays).
Peak positions follow from Bragg's law for the DFT cell and can differ from measured ones.

Largest 10 diffraction maxima, sorted by position, 2θ from 5° to 70°:
2θ 14.2, I 11
2θ 22.1, I 100
2θ 25.6, I 8
2θ 29.4, I 11
2θ 36.4, I 41
2θ 36.6, I 20
2θ 42.9, I 14
2θ 43.1, I 28
2θ 57.6, I 15
2θ 65.7, I 10

Structural model:
Lattice parameters (Å, degrees): 8.5491 8.5491 8.5491 132.01 132.01 70.22
Element x y z (fractional)
Rb1 0.0000 0.0000 0.0000
Nb1 0.7500 0.2500 0.5000
Tl1 0.2500 0.7500 0.5000
Tl2 0.5000 0.5000 0.0000
Se1 0.0673 0.5351 0.9045
Se2 0.4649 0.3694 0.5322
Se3 0.6306 0.1628 0.0955
Se4 0.8372 0.9327 0.4678